(1)
The following is a simulated powder X-ray diffraction pattern of Ta4Si3Mo2N3. It was derived from a GGA-PBE-relaxed structure, using Cu Kα, 1.54184 Å.
Intensities are scaled so that the largest is 1000.

Structural model:
abc: 9.3981 5.3040 13.1932
angles: 90.00 104.29 90.00
Space group C2/c (No. 15)
One atom of each set of equivalent atoms:
1 Ta 0.1121 0.0949 0.0902
2 Ta 0.2251 0.0858 0.4085
3 Si 0.0000 0.0631 0.7500
4 Si 0.1769 0.4123 0.2493
5 Mo 0.0480 0.4237 0.8810
6 N 0.0793 0.2599 0.5004
7 N 0.2500 0.2500 0.0000

The 10 most intense peaks (2θ = 15–90°), by intensity:
| hkl | 2θ/deg | Rel. int. |
| --- | --- | --- |
| 0 2 3 | 40.04 | 1000 |
| 3 1 2 | 39.69 | 977 |
| 3 1 -4 | 39.39 | 929 |
| 3 1 -1 | 33.22 | 529 |
| 0 0 4 | 27.91 | 522 |
| 3 3 -1 | 60.09 | 440 |
| 0 0 6 | 42.42 | 406 |
| 3 1 -2 | 33.91 | 380 |
| 0 2 1 | 34.54 | 320 |
| 6 0 -2 | 58.97 | 233 |

***

(2)
The following is a simulated powder X-ray diffraction pattern of UAl4Co. It was derived from a GGA-PBE-relaxed structure, using Cu Kα, 1.54184 Å.
Intensities are scaled so that the largest is 1000.

Structural model:
abc: 9.1341 9.1341 4.0999
angles: 90.00 90.00 120.00
Space group P-62m (No. 189)
One atom of each set of equivalent atoms:
1 U 0.0000 0.4085 0.0000
2 Al 0.0000 0.1689 0.5000
3 Al 0.0000 0.7423 0.0000
4 Al 0.1833 0.7035 0.5000
5 Co 0.0000 0.0000 0.0000
6 Co 0.3333 0.6667 0.0000

The 10 most intense peaks (2θ = 15–90°), by intensity:
| hkl | 2θ/deg | Rel. int. |
| --- | --- | --- |
| 2 1 1 | 37.22 | 1000 |
| 3 1 0 | 41.14 | 904 |
| 1 1 1 | 29.27 | 881 |
| 1 1 0 | 19.44 | 866 |
| 0 0 1 | 21.68 | 751 |
| 3 0 1 | 40.68 | 675 |
| 2 0 1 | 31.43 | 642 |
| 3 1 1 | 46.97 | 573 |
| 3 1 2 | 61.95 | 557 |
| 2 0 0 | 22.48 | 521 |

***

(3)
The following is a simulated powder X-ray diffraction pattern of MgSc2InPt4. It was derived from a GGA-PBE-relaxed structure, using Cu Kα, 1.54184 Å.
Intensities are scaled so that the largest is 1000.

Structural model:
abc: 4.6303 4.6303 6.4962
angles: 90.00 90.00 90.00
Space group P4/mmm (No. 123)
One atom of each set of equivalent atoms:
1 Mg 0.0000 0.0000 0.0000
2 Sc 0.0000 0.0000 0.5000
3 Sc 0.5000 0.5000 0.0000
4 In 0.5000 0.5000 0.5000
5 Pt 0.0000 0.5000 0.2414

The 10 most intense peaks (2θ = 15–90°), by intensity:
| hkl | 2θ/deg | Rel. int. |
| --- | --- | --- |
| 1 1 2 | 39.06 | 1000 |
| 2 0 0 | 38.90 | 510 |
| 1 1 0 | 27.24 | 366 |
| 3 1 2 | 70.55 | 350 |
| 0 0 2 | 27.46 | 176 |
| 2 2 0 | 56.19 | 175 |
| 2 0 4 | 70.88 | 168 |
| 2 0 2 | 48.27 | 161 |
| 2 2 4 | 83.93 | 108 |
| 0 0 4 | 56.68 | 82 |

***

What is the formula in the second record?
UAl4Co